Entry 1:
This entry pairs a crystal structure of Na10B17C3 with its theoretical powder XRD pattern. Radiation: Cu Kα, 1.54184 Å. Structure: a crystal structure in Alexandria, relaxed with PBE.
Lines closer than 0.1° are merged.

Principal peaks in the range 2θ = 5–70°, most intense first:
| 2θ/deg | I/Imax |
| --- | --- |
| 41.7 | 100 |
| 41.8 | 57 |
| 39.5 | 28 |
| 39.7 | 28 |
| 61.6 | 21 |
| 35.9 | 19 |
| 33.6 | 16 |
| 66.1 | 9 |
| 56.1 | 5 |
| 56.2 | 5 |

Structure:
```
30
Lattice="11.775 -1.414 0.000 11.775 1.414 0.000 -2.748 0.000 9.832" Properties=species:S:1:pos:R:3 pbc="T T T"
Na 0.000 0.000 0.000
Na 0.420 0.000 6.870
Na 3.594 0.000 3.961
Na 6.794 0.000 1.010
Na 7.231 0.000 7.861
Na 10.400 0.000 4.920
Na 13.572 0.000 1.988
Na 13.981 0.000 8.854
Na 17.186 0.000 5.896
Na 20.404 0.000 2.966
B 0.727 0.000 4.024
B 0.079 0.000 9.729
B 3.954 0.000 1.121
B 4.274 0.000 7.863
B 6.538 0.000 3.924
B 9.691 0.000 0.952
B 10.873 0.000 2.241
B 10.002 0.000 7.680
B 11.138 0.000 8.934
B 13.235 0.000 4.815
B 14.427 0.000 6.104
B 16.462 0.000 1.930
B 17.591 0.000 3.158
B 16.823 0.000 8.701
B 20.703 0.000 0.109
B 19.910 0.000 5.649
B 21.087 0.000 6.924
C -0.348 0.000 2.857
C 3.221 0.000 6.721
C 7.602 0.000 5.068
```

***

Entry 2:
This entry pairs a crystal structure of Na10B17C3 with its theoretical powder XRD pattern. Radiation: Cu Kα, 1.54184 Å. Structure: a crystal structure in Alexandria, relaxed with PBE.
Lines closer than 0.1° are merged.

Principal peaks in the range 2θ = 5–70°, most intense first:
| 2θ/deg | I/Imax |
| --- | --- |
| 41.6 | 100 |
| 41.7 | 57 |
| 39.5 | 28 |
| 39.8 | 28 |
| 61.6 | 20 |
| 35.9 | 19 |
| 33.6 | 16 |
| 66.0 | 9 |
| 56.0 | 5 |
| 56.2 | 5 |

Structure:
```
30
Lattice="11.761 -1.416 0.000 11.761 1.416 0.000 -2.758 0.000 9.837" Properties=species:S:1:pos:R:3 pbc="T T T"
Na 0.000 0.000 0.000
Na 0.378 0.000 6.869
Na 3.590 0.000 3.900
Na 6.795 0.000 0.977
Na 7.203 0.000 7.879
Na 10.399 0.000 4.899
Na 13.548 0.000 1.940
Na 13.948 0.000 8.825
Na 17.163 0.000 5.882
Na 20.376 0.000 2.950
B 0.790 0.000 4.078
B -0.005 0.000 9.643
B 3.903 0.000 1.062
B 3.158 0.000 6.656
B 4.290 0.000 7.888
B 6.500 0.000 3.867
B 7.625 0.000 5.084
B 9.713 0.000 0.954
B 10.910 0.000 2.278
B 9.915 0.000 7.598
B 11.078 0.000 8.893
B 14.165 0.000 5.841
B 16.382 0.000 1.842
B 17.513 0.000 3.062
B 16.833 0.000 8.742
B 20.744 0.000 0.152
B 20.098 0.000 5.863
C -0.308 0.000 2.879
C 13.104 0.000 4.690
C 21.155 0.000 7.010
```

***

Entry 3:
This entry pairs a crystal structure of Na10B13C7 with its theoretical powder XRD pattern. Radiation: Cu Kα, 1.54184 Å. Structure: a crystal structure in Alexandria, relaxed with PBE.
Lines closer than 0.1° are merged.

Principal peaks in the range 2θ = 5–70°, most intense first:
| 2θ/deg | I/Imax |
| --- | --- |
| 42.2 | 100 |
| 41.5 | 51 |
| 42.5 | 38 |
| 36.3 | 18 |
| 64.2 | 17 |
| 35.5 | 10 |
| 57.1 | 10 |
| 65.8 | 9 |
| 56.5 | 5 |
| 68.3 | 2 |

Structure:
```
30
Lattice="8.509 0.000 0.000 0.000 1.419 12.660 0.000 -1.419 12.660" Properties=species:S:1:pos:R:3 pbc="T T T"
Na 2.114 0.000 0.000
Na 2.130 0.000 20.282
Na 2.139 0.000 5.081
Na 2.138 0.000 10.146
Na 2.134 0.000 15.190
Na 6.370 0.000 5.081
Na 6.372 0.000 10.146
Na 6.375 0.000 15.190
Na 6.379 0.000 20.282
Na 6.395 0.000 0.000
B 0.000 0.000 1.776
B 0.000 0.000 6.919
B 0.000 0.000 11.690
B 0.000 0.000 13.453
B 0.000 0.000 16.820
B 0.000 0.000 18.578
B 0.000 0.000 21.956
B 4.255 0.000 3.227
B 4.255 0.000 8.536
B 4.255 0.000 13.450
B 4.255 0.000 16.910
B 4.255 0.000 18.740
B 4.255 0.000 23.655
C 0.000 0.000 3.379
C 0.000 0.000 8.509
C 0.000 0.000 23.575
C 4.255 0.000 1.604
C 4.255 0.000 6.880
C 4.255 0.000 11.802
C 4.255 0.000 22.002
```

***

Entry 4:
This entry pairs a crystal structure of Na5B8C2 with its theoretical powder XRD pattern. Radiation: Cu Kα, 1.54184 Å. Structure: a crystal structure in Alexandria, relaxed with PBE.
Lines closer than 0.1° are merged.

Principal peaks in the range 2θ = 5–70°, most intense first:
| 2θ/deg | I/Imax |
| --- | --- |
| 41.9 | 100 |
| 39.9 | 49 |
| 41.7 | 38 |
| 62.1 | 18 |
| 36.2 | 16 |
| 33.9 | 14 |
| 56.4 | 9 |
| 66.5 | 8 |
| 54.8 | 7 |
| 66.1 | 2 |

Structure:
```
30
Lattice="1.405 -13.235 0.000 1.405 13.235 0.000 0.000 0.000 8.664" Properties=species:S:1:pos:R:3 pbc="T T T"
Na 0.000 0.000 0.000
Na 0.000 0.000 4.332
Na 1.405 7.923 4.345
Na 1.405 7.923 8.650
Na 1.405 2.686 4.348
Na 1.405 2.686 8.647
Na 1.405 -2.686 0.016
Na 1.405 -2.686 4.316
Na 1.405 -7.923 0.013
Na 1.405 -7.923 4.319
B 1.405 11.320 2.166
B 1.405 11.237 6.498
B 1.405 9.574 2.166
B 1.405 6.115 2.166
B 1.405 6.061 6.498
B 1.405 4.378 2.166
B 1.405 0.871 2.166
B 1.405 0.800 6.498
B 1.405 -0.800 2.166
B 1.405 -0.871 6.498
B 1.405 -4.378 6.498
B 1.405 -6.061 2.166
B 1.405 -6.115 6.498
B 1.405 -9.574 6.498
B 1.405 -11.237 2.166
B 1.405 -11.320 6.498
C 1.405 9.691 6.498
C 1.405 4.474 6.498
C 1.405 -4.474 2.166
C 1.405 -9.691 2.166
```

***

Entry 5:
This entry pairs a crystal structure of Na10B13C7 with its theoretical powder XRD pattern. Radiation: Cu Kα, 1.54184 Å. Structure: a crystal structure in Alexandria, relaxed with PBE.
Lines closer than 0.1° are merged.

Principal peaks in the range 2θ = 5–70°, most intense first:
| 2θ/deg | I/Imax |
| --- | --- |
| 42.3 | 100 |
| 41.5 | 51 |
| 42.4 | 38 |
| 64.3 | 18 |
| 36.3 | 17 |
| 35.5 | 10 |
| 57.1 | 10 |
| 65.9 | 8 |
| 56.5 | 5 |
| 68.4 | 2 |

Structure:
```
30
Lattice="8.525 0.000 0.000 0.000 1.417 12.643 0.000 -1.417 12.643" Properties=species:S:1:pos:R:3 pbc="T T T"
Na 2.093 0.000 0.000
Na 2.107 0.000 5.073
Na 2.104 0.000 20.252
Na 2.111 0.000 15.184
Na 2.123 0.000 10.124
Na 6.402 0.000 10.124
Na 6.414 0.000 15.184
Na 6.418 0.000 5.073
Na 6.421 0.000 20.252
Na 6.432 0.000 0.000
B 0.000 0.000 1.682
B 0.000 0.000 6.742
B 0.000 0.000 11.795
B 0.000 0.000 16.849
B 0.000 0.000 21.911
B 4.263 0.000 1.698
B 4.263 0.000 3.352
B 4.263 0.000 8.368
B 4.263 0.000 13.312
B 4.263 0.000 16.983
B 4.263 0.000 18.691
B 4.263 0.000 21.954
B 4.263 0.000 23.653
C 0.000 0.000 3.371
C 0.000 0.000 8.430
C 0.000 0.000 13.485
C 0.000 0.000 18.544
C 0.000 0.000 23.598
C 4.263 0.000 6.780
C 4.263 0.000 11.779
```

***

Entry 6:
This entry pairs a crystal structure of Na10B13C7 with its theoretical powder XRD pattern. Radiation: Cu Kα, 1.54184 Å. Structure: a crystal structure in Alexandria, relaxed with PBE.
Lines closer than 0.1° are merged.

Principal peaks in the range 2θ = 5–70°, most intense first:
| 2θ/deg | I/Imax |
| --- | --- |
| 42.0 | 100 |
| 41.8 | 51 |
| 42.4 | 38 |
| 36.1 | 18 |
| 64.5 | 18 |
| 56.9 | 10 |
| 35.8 | 9 |
| 65.0 | 9 |
| 56.7 | 5 |
| 68.6 | 2 |

Structure:
```
30
Lattice="5.015 0.000 0.000 -2.508 7.171 0.000 -2.503 -1.431 8.518" Properties=species:S:1:pos:R:3 pbc="T T T"
Na 0.000 0.000 0.000
Na -2.511 4.293 4.234
Na -0.006 2.860 0.022
Na -0.003 0.000 4.265
Na -0.005 5.718 0.002
Na -0.008 2.869 4.231
Na 2.501 1.425 0.004
Na 0.003 5.727 4.251
Na 2.502 4.305 0.021
Na 2.508 1.425 4.231
B -1.585 2.861 2.127
B -3.404 5.722 6.385
B -1.674 5.727 2.127
B -0.898 1.443 6.385
B 0.821 1.345 2.124
B -1.695 5.724 6.386
B -0.786 4.233 6.388
B 0.821 4.377 2.128
B 1.663 2.861 2.126
B 0.812 1.439 6.386
B 1.777 -0.001 6.381
B 3.341 -0.004 2.125
B 1.722 2.930 6.387
C -0.839 1.409 2.127
C -1.686 -0.004 6.379
C -0.839 4.313 2.127
C -1.680 2.865 6.386
C 1.646 -0.048 2.121
C 1.646 5.770 2.128
C 0.829 4.298 6.390
```

***

Entry 7:
This entry pairs a crystal structure of Na5B8C2 with its theoretical powder XRD pattern. Radiation: Cu Kα, 1.54184 Å. Structure: a crystal structure in Alexandria, relaxed with PBE.
Lines closer than 0.1° are merged.

Principal peaks in the range 2θ = 5–70°, most intense first:
| 2θ/deg | I/Imax |
| --- | --- |
| 41.7 | 100 |
| 42.0 | 37 |
| 40.2 | 25 |
| 40.3 | 25 |
| 62.3 | 18 |
| 35.8 | 18 |
| 34.2 | 12 |
| 65.5 | 8 |
| 55.2 | 6 |
| 56.3 | 5 |

Structure:
```
30
Lattice="9.001 -1.426 0.000 9.001 1.426 0.000 -5.188 0.000 12.557" Properties=species:S:1:pos:R:3 pbc="T T T"
Na 0.000 0.000 0.000
Na -2.572 0.000 6.255
Na 1.531 0.000 5.015
Na -1.046 0.000 11.308
Na 3.057 0.000 10.046
Na 5.686 0.000 3.740
Na 9.721 0.000 2.523
Na 7.222 0.000 8.787
Na 11.280 0.000 7.531
Na 13.919 0.000 1.239
B -3.636 0.000 10.203
B -1.005 0.000 4.042
B 0.009 0.000 7.379
B 2.636 0.000 1.241
B 0.544 0.000 9.147
B 4.097 0.000 6.015
B 7.149 0.000 1.289
B 4.584 0.000 7.636
B 5.676 0.000 11.233
B 8.713 0.000 6.388
B 11.341 0.000 0.249
B 12.313 0.000 3.442
B 12.826 0.000 5.094
B 10.254 0.000 11.510
B 16.454 0.000 2.290
B 13.887 0.000 8.617
C 3.085 0.000 2.723
C 1.486 0.000 12.295
C 8.241 0.000 4.821
C 9.776 0.000 9.917
```

***

Entry 8:
This entry pairs a crystal structure of Na5B9C with its theoretical powder XRD pattern. Radiation: Cu Kα, 1.54184 Å. Structure: a crystal structure in Alexandria, relaxed with PBE.
Lines closer than 0.1° are merged.

Principal peaks in the range 2θ = 5–70°, most intense first:
| 2θ/deg | I/Imax |
| --- | --- |
| 41.7 | 100 |
| 41.7 | 99 |
| 41.4 | 74 |
| 39.0 | 50 |
| 39.1 | 49 |
| 60.9 | 37 |
| 36.0 | 32 |
| 33.0 | 31 |
| 56.0 | 19 |
| 66.6 | 15 |

Structure:
```
30
Lattice="9.150 -1.405 0.000 9.150 1.405 0.000 -5.082 0.000 12.957" Properties=species:S:1:pos:R:3 pbc="T T T"
Na 0.000 0.000 0.000
Na -2.541 0.000 6.478
Na 1.628 0.000 5.171
Na -0.914 0.000 11.673
Na 5.793 0.000 3.879
Na 3.245 0.000 10.404
Na 9.973 0.000 2.552
Na 7.425 0.000 9.078
Na 14.133 0.000 1.284
Na 11.590 0.000 7.786
B -1.055 0.000 3.893
B 2.620 0.000 1.068
B 0.094 0.000 7.609
B 3.137 0.000 2.686
B 0.595 0.000 9.217
B 4.304 0.000 6.412
B 1.781 0.000 12.918
B 4.798 0.000 8.015
B 7.381 0.000 1.627
B 5.837 0.000 11.330
B 8.421 0.000 4.942
B 11.437 0.000 0.038
B 8.915 0.000 6.544
B 12.624 0.000 3.739
B 10.082 0.000 10.270
B 13.125 0.000 5.347
B 10.599 0.000 11.889
B 14.274 0.000 9.064
C -3.558 0.000 10.544
C 16.777 0.000 2.413
```

***

Entry 9:
This entry pairs a crystal structure of Na5B9C with its theoretical powder XRD pattern. Radiation: Cu Kα, 1.54184 Å. Structure: a crystal structure in Alexandria, relaxed with PBE.
Lines closer than 0.1° are merged.

Principal peaks in the range 2θ = 5–70°, most intense first:
| 2θ/deg | I/Imax |
| --- | --- |
| 41.7 | 100 |
| 41.7 | 99 |
| 39.1 | 99 |
| 41.4 | 74 |
| 60.9 | 37 |
| 36.0 | 33 |
| 33.0 | 31 |
| 56.0 | 19 |
| 66.5 | 15 |
| 53.9 | 8 |

Structure:
```
30
Lattice="9.143 -1.406 0.000 9.143 1.406 0.000 -5.082 0.000 12.958" Properties=species:S:1:pos:R:3 pbc="T T T"
Na 0.000 0.000 0.000
Na -2.541 0.000 6.479
Na -0.936 0.000 11.688
Na 1.630 0.000 5.173
Na 5.793 0.000 3.853
Na 3.257 0.000 10.390
Na 9.947 0.000 2.569
Na 7.411 0.000 9.105
Na 11.573 0.000 7.785
Na 14.140 0.000 1.271
B -1.020 0.000 3.988
B -3.555 0.000 10.596
B 0.127 0.000 7.722
B 3.117 0.000 2.593
B 0.625 0.000 9.319
B 1.663 0.000 12.631
B 4.263 0.000 6.306
B 7.288 0.000 1.340
B 4.756 0.000 7.916
B 8.448 0.000 5.042
B 5.916 0.000 11.618
B 8.941 0.000 6.652
B 11.540 0.000 0.327
B 12.579 0.000 3.639
B 10.087 0.000 10.366
B 13.076 0.000 5.236
B 16.759 0.000 2.362
B 14.224 0.000 8.971
C 2.654 0.000 1.104
C 10.550 0.000 11.854
```